Calculated powder diffractogram of Li2Ni3SnO8 for Cu Kα, 1.54184 Å, from a crystal structure in Alexandria, relaxed with PBE+U.
Peak positions follow from Bragg's law for the DFT cell and can differ from measured ones.

Structure:
Unit cell a=5.857 b=5.874 c=10.482 alpha=90.05 beta=106.15 gamma=119.83
Element x y z (fractional)
Li 0.105 0.053 0.176
Li 0.125 0.553 0.684
Li 0.875 0.447 0.316
Li 0.895 0.947 0.824
Ni 0.000 0.000 0.500
Ni 0.000 0.500 0.000
Ni 0.500 0.000 0.000
Ni 0.500 0.000 0.500
Ni 0.500 0.500 0.000
Ni 0.500 0.500 0.500
Sn 0.488 0.751 0.249
Sn 0.512 0.249 0.751
O 0.230 0.395 0.117
O 0.240 0.850 0.102
O 0.249 0.600 0.898
O 0.261 0.356 0.617
O 0.272 0.124 0.398
O 0.272 0.894 0.614
O 0.281 0.659 0.391
O 0.297 0.139 0.890
O 0.703 0.861 0.110
O 0.719 0.341 0.609
O 0.728 0.106 0.386
O 0.728 0.876 0.602
O 0.739 0.644 0.383
O 0.751 0.400 0.102
O 0.760 0.150 0.898
O 0.770 0.605 0.883

Principal peaks in the range 2θ from 10° to 90°, in order of rising 2θ:
| h k l | 2θ/deg | I (rel.) |
| --- | --- | --- |
| 0 0 2 | 17.87 | 101 |
| 0 1 -1 | 18.44 | 1000 |
| 1 -1 3 | 34.92 | 201 |
| 1 1 1 | 35.45 | 67 |
| -1 2 2 | 35.53 | 244 |
| 2 0 0 | 37.35 | 114 |
| 0 2 2 | 42.99 | 184 |
| 2 0 -4 | 43.14 | 359 |
| 0 1 -5 | 46.26 | 69 |
| 0 2 -6 | 61.74 | 115 |